[1]
# AgOs2Cl11
Simulated powder XRD pattern, Cu Kα (λ = 1.5418 Å). Input: a PBE-relaxed structure.
Kinematic intensities with the Lorentz-polarization factor, no thermal factor.

Principal peaks in the range 10 to 90 degrees two-theta, most intense first:
| 2θ (°) | Rel. int. |
| --- | --- |
| 15.31 | 100.0 |
| 14.64 | 69.0 |
| 14.33 | 64.2 |
| 16.10 | 49.5 |
| 18.43 | 39.1 |
| 22.39 | 25.5 |
| 20.54 | 22.3 |
| 28.71 | 22.0 |
| 10.23 | 21.4 |
| 25.55 | 18.2 |
| 27.13 | 18.2 |
| 18.21 | 16.5 |

Atomic structure:
Cell lengths 10.0696, 10.0696, 12.5480 Å; angles 116.37, 116.37, 75.71 degrees
Fractional positions:
Ag 0.1660 0.8340 0.0000
Ag 0.8340 0.1660 0.0000
Os 0.0627 0.0627 0.5656
Os 0.2838 0.2838 0.2051
Os 0.5410 0.5410 0.1411
Os 0.7543 0.7543 0.8172
Cl 0.0439 0.3115 0.0528
Cl 0.1421 0.8844 0.6489
Cl 0.1833 0.9271 0.4298
Cl 0.1903 0.1903 0.2896
Cl 0.2275 0.2275 0.7120
Cl 0.2572 0.5215 0.3382
Cl 0.3115 0.0439 0.0528
Cl 0.3490 0.6054 0.9727
Cl 0.3630 0.3630 0.0825
Cl 0.4500 0.7174 0.2865
Cl 0.5215 0.2572 0.3382
Cl 0.5654 0.8297 0.8881
Cl 0.6054 0.3490 0.9727
Cl 0.6131 0.6131 0.6155
Cl 0.6946 0.6946 0.1713
Cl 0.6976 0.9624 0.7624
Cl 0.7174 0.4500 0.2865
Cl 0.8297 0.5654 0.8881
Cl 0.8844 0.1421 0.6489
Cl 0.9146 0.9146 0.0362
Cl 0.9271 0.1833 0.4298
Cl 0.9624 0.6976 0.7624

---

[2]
# Mg4NiW
Simulated powder XRD pattern, Cu Kα (λ = 1.5418 Å). Input: a PBE-relaxed structure.
Kinematic intensities with the Lorentz-polarization factor, no thermal factor.

Principal peaks in the range 10 to 90 degrees two-theta, most intense first:
| 2θ (°) | Rel. int. |
| --- | --- |
| 39.27 | 100.0 |
| 33.30 | 82.6 |
| 20.21 | 66.3 |
| 63.53 | 32.0 |
| 59.52 | 30.8 |
| 23.38 | 21.6 |
| 69.94 | 18.6 |
| 52.42 | 16.8 |
| 79.70 | 13.1 |
| 73.65 | 12.5 |
| 41.09 | 12.3 |
| 83.27 | 11.2 |

Atomic structure:
Cell lengths 5.3804, 5.3804, 5.3804 Å; angles 60.00, 60.00, 60.00 degrees
Fractional positions:
Mg 0.1250 0.1250 0.1250
Mg 0.1250 0.1250 0.6249
Mg 0.1250 0.6249 0.1250
Mg 0.6249 0.1250 0.1250
Ni 0.7500 0.7500 0.7500
W 0.5000 0.5000 0.5000